Record 1
For ZnIn4Rh5, DFT lattice parameters and positions (GGA-PBE) gives the simulated X-ray powder pattern in this record (λ = 1.5418 Å (Cu Kα)).

Most intense lines, 2θ = 10–90°, in order of rising 2θ:
two_theta, d/Å, I/Imax
36.01, 2.494, 2
39.91, 2.259, 100
57.64, 1.599, 11
57.87, 1.593, 5
67.15, 1.394, 1
72.42, 1.305, 22
72.58, 1.303, 9
81.03, 1.187, 1
85.96, 1.131, 4
86.16, 1.129, 6

Cell and atoms:
```
ZnIn4Rh5
1.0
3.198 0.000 0.000
0.000 3.198 0.000
0.000 0.000 15.933
Zn In Rh
1 4 5
direct
0.000 0.000 0.000
0.000 0.000 0.190
0.000 0.000 0.397
0.000 0.000 0.603
0.000 0.000 0.810
0.500 0.500 0.091
0.500 0.500 0.295
0.500 0.500 0.500
0.500 0.500 0.705
0.500 0.500 0.909
```

=====

Record 2
For ZnIn5Rh6, DFT lattice parameters and positions (GGA-PBE) gives the simulated X-ray powder pattern in this record (λ = 1.5418 Å (Cu Kα)).

Most intense lines, 2θ = 10–90°, in order of rising 2θ:
two_theta, d/Å, I/Imax
39.79, 2.265, 100
39.89, 2.260, 20
57.44, 1.604, 7
57.62, 1.600, 13
72.22, 1.308, 26
72.36, 1.306, 13
85.78, 1.133, 10
86.04, 1.130, 2

Cell and atoms:
```
ZnIn5Rh6
1.0
2.265 -6.780 0.000
2.265 6.780 0.000
0.000 0.000 6.417
Zn In Rh
1 5 6
direct
0.000 0.000 0.000
0.000 0.000 0.500
0.333 0.667 0.500
0.336 0.664 0.000
0.664 0.336 0.000
0.667 0.333 0.500
0.165 0.835 0.246
0.165 0.835 0.754
0.500 0.500 0.246
0.500 0.500 0.754
0.835 0.165 0.246
0.835 0.165 0.754
```

=====

Record 3
For Zr3InRh6, DFT lattice parameters and positions (GGA-PBE) gives the simulated X-ray powder pattern in this record (λ = 1.5418 Å (Cu Kα)).

Most intense lines, 2θ = 10–90°, in order of rising 2θ:
two_theta, d/Å, I/Imax
37.21, 2.416, 50
38.78, 2.322, 64
39.94, 2.257, 100
40.57, 2.224, 100
42.16, 2.143, 24
54.84, 1.674, 33
61.52, 1.507, 13
70.98, 1.328, 18
71.41, 1.321, 18
75.14, 1.264, 15

Cell and atoms:
```
Zr3InRh6
1.0
7.810 0.000 0.000
0.000 4.644 0.000
-3.776 0.000 9.329
Zr In Rh
6 2 12
direct
0.023 0.250 0.378
0.141 0.750 0.201
0.298 0.250 0.986
0.702 0.750 0.014
0.859 0.250 0.799
0.977 0.750 0.622
0.450 0.250 0.580
0.550 0.750 0.420
0.046 0.750 0.916
0.172 0.250 0.679
0.236 0.750 0.502
0.345 0.750 0.823
0.350 0.250 0.284
0.440 0.750 0.134
0.560 0.250 0.866
0.650 0.750 0.716
0.655 0.250 0.177
0.764 0.250 0.498
0.828 0.750 0.321
0.954 0.250 0.084
```

=====

Record 4
For ZrIn5Rh6, DFT lattice parameters and positions (GGA-PBE) gives the simulated X-ray powder pattern in this record (λ = 1.5418 Å (Cu Kα)).

Most intense lines, 2θ = 10–90°, in order of rising 2θ:
two_theta, d/Å, I/Imax
38.73, 2.325, 100
40.57, 2.224, 44
53.06, 1.726, 10
58.72, 1.572, 14
68.86, 1.363, 18
72.59, 1.302, 30
83.10, 1.162, 10
87.71, 1.113, 2
87.90, 1.111, 2

Cell and atoms:
```
ZrIn5Rh6
1.0
2.222 -6.676 0.000
2.222 6.676 0.000
0.000 0.000 6.904
Zr In Rh
1 5 6
direct
0.000 0.000 0.000
0.000 0.000 0.500
0.333 0.667 0.000
0.334 0.666 0.500
0.666 0.334 0.500
0.667 0.333 0.000
0.166 0.834 0.249
0.166 0.834 0.751
0.500 0.500 0.248
0.500 0.500 0.752
0.834 0.166 0.249
0.834 0.166 0.751
```

=====

Record 5
For Zr2InRh3, DFT lattice parameters and positions (GGA-PBE) gives the simulated X-ray powder pattern in this record (λ = 1.5418 Å (Cu Kα)).

Most intense lines, 2θ = 10–90°, in order of rising 2θ:
two_theta, d/Å, I/Imax
32.46, 2.758, 1
38.81, 2.321, 100
56.05, 1.641, 17
70.24, 1.340, 24
70.31, 1.339, 8
83.22, 1.161, 5
83.34, 1.160, 5

Cell and atoms:
```
Zr2InRh3
1.0
4.638 0.000 0.000
-2.319 4.017 0.000
0.000 0.000 11.382
Zr In Rh
4 2 6
direct
0.000 0.000 0.000
0.000 0.000 0.500
0.333 0.667 0.177
0.667 0.333 0.823
0.333 0.667 0.667
0.667 0.333 0.333
0.000 0.000 0.243
0.000 0.000 0.757
0.333 0.667 0.421
0.333 0.667 0.926
0.667 0.333 0.074
0.667 0.333 0.579
```

=====

Record 6
For Zr5InRh6, DFT lattice parameters and positions (GGA-PBE) gives the simulated X-ray powder pattern in this record (λ = 1.5418 Å (Cu Kα)).

Most intense lines, 2θ = 10–90°, in order of rising 2θ:
two_theta, d/Å, I/Imax
37.74, 2.383, 54
38.09, 2.362, 54
38.95, 2.312, 100
39.20, 2.298, 98
54.32, 1.689, 18
55.09, 1.667, 18
68.78, 1.365, 17
69.26, 1.357, 34
69.75, 1.348, 17
71.67, 1.317, 16

Cell and atoms:
```
Zr5InRh6
1.0
4.725 0.000 0.000
-0.005 6.344 0.000
-2.266 -3.171 7.150
Zr In Rh
5 1 6
direct
0.000 0.000 0.000
0.332 0.834 0.668
0.338 0.340 0.679
0.662 0.660 0.321
0.668 0.166 0.332
0.000 0.500 0.000
0.176 0.420 0.347
0.177 0.926 0.347
0.498 0.762 0.999
0.502 0.238 0.001
0.823 0.074 0.653
0.824 0.580 0.653
```

=====

Record 7
For ZrIn2Rh2, DFT lattice parameters and positions (GGA-PBE) gives the simulated X-ray powder pattern in this record (λ = 1.5418 Å (Cu Kα)).

Most intense lines, 2θ = 10–90°, in order of rising 2θ:
two_theta, d/Å, I/Imax
22.64, 3.928, 22
27.73, 3.217, 18
39.49, 2.282, 100
39.74, 2.268, 89
57.27, 1.609, 33
71.46, 1.320, 13
71.97, 1.312, 33
72.14, 1.309, 15
85.02, 1.141, 8
85.66, 1.134, 9

Cell and atoms:
```
ZrIn2Rh2
1.0
4.536 0.000 0.000
-2.268 3.928 0.000
0.000 0.000 5.606
Zr In Rh
1 2 2
direct
0.000 0.000 0.000
0.333 0.667 0.355
0.667 0.333 0.645
0.333 0.667 0.848
0.667 0.333 0.152
```

=====

Record 8
For In3Ru4, DFT lattice parameters and positions (GGA-PBE) gives the simulated X-ray powder pattern in this record (λ = 1.5418 Å (Cu Kα)).

Most intense lines, 2θ = 10–90°, in order of rising 2θ:
two_theta, d/Å, I/Imax
32.42, 2.762, 46
37.61, 2.392, 72
37.80, 2.380, 74
42.42, 2.131, 100
42.92, 2.107, 87
61.41, 1.510, 17
65.13, 1.432, 49
67.88, 1.381, 34
72.14, 1.309, 21
83.75, 1.155, 24

Cell and atoms:
```
In3Ru4
1.0
5.523 0.000 0.000
-2.762 4.783 0.000
0.000 0.000 4.694
In Ru
3 4
direct
0.000 0.500 0.000
0.500 0.000 0.000
0.500 0.500 0.000
0.000 0.000 0.253
0.000 0.000 0.747
0.333 0.667 0.500
0.667 0.333 0.500
```

=====

Record 9
For TaIn2SbRu, DFT lattice parameters and positions (GGA-PBE) gives the simulated X-ray powder pattern in this record (λ = 1.5418 Å (Cu Kα)).

Most intense lines, 2θ = 10–90°, in order of rising 2θ:
two_theta, d/Å, I/Imax
24.80, 3.590, 13
25.06, 3.553, 23
30.71, 2.911, 100
35.36, 2.538, 75
36.11, 2.487, 36
50.87, 1.795, 26
51.43, 1.777, 51
60.61, 1.528, 28
61.61, 1.505, 13
63.96, 1.456, 26

Cell and atoms:
```
TaIn2SbRu
1.0
5.077 0.000 0.000
0.000 5.077 0.000
0.000 0.000 4.975
Ta In Sb Ru
1 2 1 1
direct
0.000 0.000 0.000
0.000 0.500 0.500
0.500 0.000 0.500
0.500 0.500 0.000
0.500 0.500 0.500
```

=====

Record 10
For Sc8InRu2, DFT lattice parameters and positions (GGA-PBE) gives the simulated X-ray powder pattern in this record (λ = 1.5418 Å (Cu Kα)).

Most intense lines, 2θ = 10–90°, in order of rising 2θ:
two_theta, d/Å, I/Imax
22.68, 3.920, 81
25.62, 3.477, 27
33.35, 2.686, 28
33.63, 2.665, 22
36.55, 2.458, 74
37.91, 2.373, 100
43.45, 2.083, 47
45.79, 1.982, 32
59.96, 1.543, 19
66.69, 1.402, 32

Cell and atoms:
```
Sc8InRu2
1.0
-2.458 7.377 3.248
2.458 -7.377 3.248
2.458 7.377 -3.248
Sc In Ru
8 1 2
direct
0.000 0.000 0.000
0.257 0.586 0.672
0.332 0.446 0.887
0.416 0.124 0.291
0.559 0.446 0.113
0.736 0.236 0.500
0.833 0.124 0.709
0.914 0.586 0.328
0.297 0.797 0.500
0.653 0.822 0.830
0.992 0.822 0.170
```

=====

Record 11
For Sc6InRu5, DFT lattice parameters and positions (GGA-PBE) gives the simulated X-ray powder pattern in this record (λ = 1.5418 Å (Cu Kα)).

Most intense lines, 2θ = 10–90°, in order of rising 2θ:
two_theta, d/Å, I/Imax
27.00, 3.303, 11
27.53, 3.240, 21
38.94, 2.313, 100
39.17, 2.300, 25
39.47, 2.283, 24
55.66, 1.651, 8
56.83, 1.620, 16
70.84, 1.330, 16
71.24, 1.324, 15
83.61, 1.156, 9

Cell and atoms:
```
Sc6InRu5
1.0
-2.300 3.302 6.849
2.300 -3.302 6.849
2.300 3.302 -6.849
Sc In Ru
6 1 5
direct
0.064 0.326 0.738
0.227 0.000 0.227
0.413 0.674 0.738
0.587 0.326 0.262
0.773 0.000 0.773
0.936 0.674 0.262
0.500 0.500 0.000
0.000 0.500 0.500
0.168 0.168 0.000
0.339 0.839 0.500
0.661 0.161 0.500
0.832 0.832 0.000
```

=====

Record 12
For InRu2Se, DFT lattice parameters and positions (GGA-PBE) gives the simulated X-ray powder pattern in this record (λ = 1.5418 Å (Cu Kα)).

Most intense lines, 2θ = 10–90°, in order of rising 2θ:
two_theta, d/Å, I/Imax
26.59, 3.353, 11
34.56, 2.596, 53
38.45, 2.342, 49
39.70, 2.270, 100
42.30, 2.137, 56
52.64, 1.739, 31
59.97, 1.543, 13
70.38, 1.338, 18
73.52, 1.288, 14
76.11, 1.251, 19

Cell and atoms:
```
InRu2Se
1.0
3.085 0.000 0.000
0.000 4.683 0.000
0.000 0.000 4.802
In Ru Se
1 2 1
direct
0.000 0.000 0.000
0.000 0.500 0.678
0.500 0.000 0.515
0.500 0.500 0.297
```